For Rb2LiNbS4, a PBE-relaxed structure gives the computed X-ray powder pattern in this record (Cu Kα (weighted mean of Kα1 and Kα2)).

Principal peaks in the range 10 to 90 degrees two-theta, most intense first:
2θ/deg, I (rel.)
24.93, 100
28.06, 80
25.83, 44
16.23, 43
27.07, 41
32.33, 35
25.92, 34
42.86, 31
51.15, 27
45.13, 24
31.28, 24
29.45, 22

Structural model:
```
data_Rb2LiNbS4
_chemical_formula_sum 'Rb8 Li4 Nb4 S16'
_symmetry_space_group_name_H-M 'P 1'
_symmetry_Int_Tables_number 1
_cell_length_a 7.1880
_cell_length_b 11.5686
_cell_length_c 12.0705
_cell_angle_alpha 71.53
_cell_angle_beta 87.68
_cell_angle_gamma 83.72
loop_
_symmetry_equiv_pos_as_xyz
'x,y,z'
loop_
_atom_site_label
_atom_site_fract_x
_atom_site_fract_y
_atom_site_fract_z
_atom_site_occupancy
Rb1 0.1844 0.0973 0.2496 1
Rb2 0.2361 0.6239 0.7233 1
Rb3 0.2515 0.6504 0.3492 1
Rb4 0.2521 0.1546 0.8573 1
Rb5 0.7479 0.8454 0.1427 1
Rb6 0.7485 0.3496 0.6508 1
Rb7 0.7639 0.3761 0.2767 1
Rb8 0.8156 0.9027 0.7504 1
Li1 0.2782 0.4782 0.0709 1
Li2 0.3232 0.9887 0.5847 1
Li3 0.6768 0.0113 0.4153 1
Li4 0.7218 0.5218 0.9291 1
Nb1 0.2757 0.2726 0.4856 1
Nb2 0.2822 0.7692 0.9856 1
Nb3 0.7178 0.2308 0.0144 1
Nb4 0.7243 0.7274 0.5144 1
S1 0.0320 0.6599 0.9942 1
S2 0.0455 0.1438 0.5314 1
S3 0.2322 0.8946 0.0991 1
S4 0.2473 0.4003 0.5971 1
S5 0.2620 0.3788 0.2897 1
S6 0.3292 0.8825 0.7947 1
S7 0.4471 0.8535 0.4677 1
S8 0.4681 0.3737 0.9403 1
S9 0.5319 0.6263 0.0597 1
S10 0.5529 0.1465 0.5323 1
S11 0.6708 0.1175 0.2053 1
S12 0.7380 0.6212 0.7103 1
S13 0.7527 0.5997 0.4029 1
S14 0.7678 0.1054 0.9009 1
S15 0.9545 0.8562 0.4686 1
S16 0.9680 0.3401 0.0058 1
```



For LiNbRh2, a PBE-relaxed structure gives the computed X-ray powder pattern in this record (Cu Kα (weighted mean of Kα1 and Kα2)).

Principal peaks in the range 10 to 90 degrees two-theta, most intense first:
2θ/deg, I (rel.)
41.47, 100
75.65, 33
25.04, 22
29.00, 17
60.09, 16
49.06, 10
68.08, 6
51.39, 4
66.13, 4
81.15, 3

Structural model:
```
data_LiNbRh2
_chemical_formula_sum 'Li4 Nb4 Rh8'
_symmetry_space_group_name_H-M 'P 1'
_symmetry_Int_Tables_number 1
_cell_length_a 6.1588
_cell_length_b 6.1588
_cell_length_c 6.1588
_cell_angle_alpha 90.00
_cell_angle_beta 90.00
_cell_angle_gamma 90.00
loop_
_symmetry_equiv_pos_as_xyz
'x,y,z'
loop_
_atom_site_label
_atom_site_fract_x
_atom_site_fract_y
_atom_site_fract_z
_atom_site_occupancy
Li1 0.0000 0.0000 0.0000 1
Li2 0.0000 0.5000 0.5000 1
Li3 0.5000 0.0000 0.5000 1
Li4 0.5000 0.5000 0.0000 1
Nb1 0.0000 0.0000 0.5000 1
Nb2 0.0000 0.5000 0.0000 1
Nb3 0.5000 0.0000 0.0000 1
Nb4 0.5000 0.5000 0.5000 1
Rh1 0.2500 0.2500 0.2500 1
Rh2 0.2500 0.2500 0.7500 1
Rh3 0.2500 0.7500 0.2500 1
Rh4 0.2500 0.7500 0.7500 1
Rh5 0.7500 0.2500 0.2500 1
Rh6 0.7500 0.2500 0.7500 1
Rh7 0.7500 0.7500 0.2500 1
Rh8 0.7500 0.7500 0.7500 1
```



For LiNbRu2, a PBE-relaxed structure gives the computed X-ray powder pattern in this record (Cu Kα (weighted mean of Kα1 and Kα2)).

Principal peaks in the range 10 to 90 degrees two-theta, most intense first:
2θ/deg, I (rel.)
41.63, 100
75.97, 33
25.14, 23
60.34, 16
29.11, 16
49.25, 11
68.37, 5
51.60, 4
66.41, 4
81.51, 3

Structural model:
```
data_LiNbRu2
_chemical_formula_sum 'Li4 Nb4 Ru8'
_symmetry_space_group_name_H-M 'P 1'
_symmetry_Int_Tables_number 1
_cell_length_a 6.1363
_cell_length_b 6.1363
_cell_length_c 6.1363
_cell_angle_alpha 90.00
_cell_angle_beta 90.00
_cell_angle_gamma 90.00
loop_
_symmetry_equiv_pos_as_xyz
'x,y,z'
loop_
_atom_site_label
_atom_site_fract_x
_atom_site_fract_y
_atom_site_fract_z
_atom_site_occupancy
Li1 0.0000 0.0000 0.0000 1
Li2 0.0000 0.5000 0.5000 1
Li3 0.5000 0.0000 0.5000 1
Li4 0.5000 0.5000 0.0000 1
Nb1 0.0000 0.0000 0.5000 1
Nb2 0.0000 0.5000 0.0000 1
Nb3 0.5000 0.0000 0.0000 1
Nb4 0.5000 0.5000 0.5000 1
Ru1 0.2500 0.2500 0.2500 1
Ru2 0.2500 0.2500 0.7500 1
Ru3 0.2500 0.7500 0.2500 1
Ru4 0.2500 0.7500 0.7500 1
Ru5 0.7500 0.2500 0.2500 1
Ru6 0.7500 0.2500 0.7500 1
Ru7 0.7500 0.7500 0.2500 1
Ru8 0.7500 0.7500 0.7500 1
```



For Li5Nb7S14, a PBE-relaxed structure gives the computed X-ray powder pattern in this record (Cu Kα (weighted mean of Kα1 and Kα2)).

Principal peaks in the range 10 to 90 degrees two-theta, most intense first:
2θ/deg, I (rel.)
13.69, 100
41.64, 69
33.63, 60
54.32, 23
30.56, 20
52.75, 18
31.35, 16
56.30, 15
70.69, 14
82.62, 13
65.42, 8
37.14, 8

Structural model:
```
data_Li5Nb7S14
_chemical_formula_sum 'Li10 Nb14 S28'
_symmetry_space_group_name_H-M 'P 1'
_symmetry_Int_Tables_number 1
_cell_length_a 12.1804
_cell_length_b 12.1804
_cell_length_c 16.4323
_cell_angle_alpha 126.79
_cell_angle_beta 126.79
_cell_angle_gamma 27.79
loop_
_symmetry_equiv_pos_as_xyz
'x,y,z'
loop_
_atom_site_label
_atom_site_fract_x
_atom_site_fract_y
_atom_site_fract_z
_atom_site_occupancy
Li1 0.0000 0.5000 0.5000 1
Li2 0.0723 0.5722 0.0000 1
Li3 0.2145 0.7141 0.0000 1
Li4 0.2859 0.7855 0.5000 1
Li5 0.4278 0.9277 0.5000 1
Li6 0.5000 0.0000 0.0000 1
Li7 0.5722 0.0723 0.5000 1
Li8 0.7141 0.2145 0.5000 1
Li9 0.7855 0.2859 0.0000 1
Li10 0.9277 0.4278 0.0000 1
Nb1 0.0350 0.5365 0.2507 1
Nb2 0.1051 0.6092 0.7501 1
Nb3 0.1780 0.6797 0.2501 1
Nb4 0.2499 0.7501 0.7500 1
Nb5 0.3203 0.8220 0.2499 1
Nb6 0.3908 0.8949 0.7499 1
Nb7 0.4635 0.9650 0.2493 1
Nb8 0.5365 0.0350 0.7507 1
Nb9 0.6092 0.1051 0.2501 1
Nb10 0.6797 0.1780 0.7501 1
Nb11 0.7501 0.2499 0.2500 1
Nb12 0.8220 0.3203 0.7499 1
Nb13 0.8949 0.3908 0.2499 1
Nb14 0.9650 0.4635 0.7493 1
S1 0.0392 0.2070 0.3712 1
S2 0.0650 0.8966 0.8712 1
S3 0.0799 0.2449 0.1288 1
S4 0.1034 0.9350 0.6288 1
S5 0.1831 0.3500 0.3713 1
S6 0.2070 0.0392 0.8712 1
S7 0.2215 0.3885 0.1285 1
S8 0.2449 0.0799 0.6288 1
S9 0.3248 0.4926 0.3709 1
S10 0.3500 0.1831 0.8713 1
S11 0.3659 0.5303 0.1289 1
S12 0.3885 0.2215 0.6285 1
S13 0.4697 0.6341 0.3711 1
S14 0.4926 0.3248 0.8709 1
S15 0.5074 0.6752 0.1291 1
S16 0.5303 0.3659 0.6289 1
S17 0.6115 0.7785 0.3715 1
S18 0.6341 0.4697 0.8711 1
S19 0.6500 0.8169 0.1287 1
S20 0.6752 0.5074 0.6291 1
S21 0.7551 0.9201 0.3712 1
S22 0.7785 0.6115 0.8715 1
S23 0.7930 0.9608 0.1288 1
S24 0.8169 0.6500 0.6287 1
S25 0.8966 0.0650 0.3712 1
S26 0.9201 0.7551 0.8712 1
S27 0.9350 0.1034 0.1288 1
S28 0.9608 0.7930 0.6288 1
```



- Which formula does entry 3 have?
  LiNbRu2